1.
V5MoRu4: calculated PXRD pattern (λ = 1.5418 Å (Cu Kα)), based on a PBE-relaxed structure.
Kinematic intensities with the Lorentz-polarization factor, no thermal factor.

Most intense lines, 2θ from 10° to 90°, in order of rising 2θ:
| 2θ/deg | I_rel |
| --- | --- |
| 29.46 | 5 |
| 29.59 | 10 |
| 42.27 | 100 |
| 52.41 | 4 |
| 61.13 | 5 |
| 61.41 | 10 |
| 69.36 | 2 |
| 69.60 | 4 |
| 77.17 | 10 |
| 77.36 | 21 |

Structure:
a b c (Å): 3.0193 3.0193 15.1603
angles (deg): 90.00 90.00 90.00
Space group P4/mmm (No. 123)
Symmetry-distinct sites (fractional):
V 0.0000 0.0000 0.0000 x1
V 0.0000 0.0000 0.2001 x2
V 0.0000 0.0000 0.4017 x2
Mo 0.5000 0.5000 0.5000 x1
Ru 0.5000 0.5000 0.0980 x2
Ru 0.5000 0.5000 0.2970 x2


2.
NdThPdPt: calculated PXRD pattern (λ = 1.5418 Å (Cu Kα)), based on a PBE-relaxed structure.
Kinematic intensities with the Lorentz-polarization factor, no thermal factor.

Most intense lines, 2θ from 10° to 90°, in order of rising 2θ:
| 2θ/deg | I_rel |
| --- | --- |
| 15.62 | 14 |
| 31.54 | 100 |
| 37.54 | 10 |
| 38.88 | 51 |
| 40.28 | 20 |
| 46.89 | 13 |
| 52.04 | 14 |
| 57.61 | 10 |
| 63.50 | 11 |
| 72.63 | 10 |

Structure:
a b c (Å): 4.4779 3.8750 11.3451
angles (deg): 90.00 90.00 90.00
Space group Amm2 (No. 38)
Symmetry-distinct sites (fractional):
Nd 0.0000 0.0000 0.0000 x2
Th 0.5000 0.0000 0.7280 x2
Pd 0.5000 0.0000 0.4487 x2
Pt 0.0000 0.0000 0.2652 x2


3.
ZnGe: calculated PXRD pattern (λ = 1.5418 Å (Cu Kα)), based on a PBE-relaxed structure.
Kinematic intensities with the Lorentz-polarization factor, no thermal factor.

Most intense lines, 2θ from 10° to 90°, in order of rising 2θ:
| 2θ/deg | I_rel |
| --- | --- |
| 23.06 | 44 |
| 25.25 | 58 |
| 29.28 | 17 |
| 29.71 | 32 |
| 36.06 | 41 |
| 41.86 | 100 |
| 42.81 | 33 |
| 44.56 | 19 |
| 44.87 | 32 |
| 49.54 | 24 |

Structure:
a b c (Å): 4.3229 7.7154 9.9606
angles (deg): 90.00 90.00 90.00
Space group P2_12_12_1 (No. 19)
Symmetry-distinct sites (fractional):
Zn 0.1355 0.0976 0.1572 x4
Zn 0.1424 0.5906 0.9085 x4
Ge 0.1705 0.9178 0.9275 x4
Ge 0.1839 0.4187 0.1600 x4


4.
AgHg6Br3: calculated PXRD pattern (λ = 1.5418 Å (Cu Kα)), based on a PBE-relaxed structure.
Kinematic intensities with the Lorentz-polarization factor, no thermal factor.

Most intense lines, 2θ from 10° to 90°, in order of rising 2θ:
| 2θ/deg | I_rel |
| --- | --- |
| 18.83 | 63 |
| 21.78 | 26 |
| 30.07 | 100 |
| 32.05 | 55 |
| 37.43 | 17 |
| 39.08 | 16 |
| 41.66 | 18 |
| 44.39 | 41 |
| 49.36 | 20 |
| 71.40 | 11 |

Structure:
a b c (Å): 16.3253 16.3253 4.5559
angles (deg): 90.00 90.00 120.00
Space group R3m (No. 160, hexagonal axes)
Symmetry-distinct sites (fractional):
Ag 0.0000 0.0000 0.0000 x3
Hg 0.1736 0.3472 0.8559 x9
Hg 0.1862 0.0931 0.6934 x9
Br 0.0876 0.1753 0.2708 x9


5.
NaTlAg2Te2: calculated PXRD pattern (λ = 1.5418 Å (Cu Kα)), based on a PBE-relaxed structure.
Kinematic intensities with the Lorentz-polarization factor, no thermal factor.

Most intense lines, 2θ from 10° to 90°, in order of rising 2θ:
| 2θ/deg | I_rel |
| --- | --- |
| 20.37 | 11 |
| 23.70 | 37 |
| 29.69 | 100 |
| 37.45 | 64 |
| 41.42 | 13 |
| 48.50 | 26 |
| 49.22 | 16 |
| 57.06 | 30 |
| 62.84 | 23 |
| 67.56 | 11 |

Structure:
a b c (Å): 4.8029 4.8029 8.7190
angles (deg): 90.00 90.00 120.00
Space group P-3m1 (No. 164)
Symmetry-distinct sites (fractional):
Na 0.0000 0.0000 0.0000 x1
Tl 0.0000 0.0000 0.5000 x1
Ag 0.3333 0.6667 0.2231 x2
Te 0.3333 0.6667 0.7680 x2


6.
Ba2CoSb2: calculated PXRD pattern (λ = 1.5418 Å (Cu Kα)), based on a PBE-relaxed structure.
Kinematic intensities with the Lorentz-polarization factor, no thermal factor.

Most intense lines, 2θ from 10° to 90°, in order of rising 2θ:
| 2θ/deg | I_rel |
| --- | --- |
| 24.29 | 8 |
| 29.13 | 8 |
| 31.64 | 100 |
| 32.00 | 27 |
| 38.85 | 21 |
| 51.19 | 18 |
| 54.14 | 15 |
| 56.80 | 19 |
| 63.27 | 8 |
| 71.32 | 11 |

Structure:
a b c (Å): 7.3294 7.3294 5.5939
angles (deg): 90.00 90.00 90.00
Space group P4/mbm (No. 127)
Symmetry-distinct sites (fractional):
Ba 0.1706 0.3294 0.0000 x4
Co 0.0000 0.0000 0.5000 x2
Sb 0.1486 0.6486 0.5000 x4


7.
PrPa4Mn3N12: calculated PXRD pattern (λ = 1.5418 Å (Cu Kα)), based on a PBE-relaxed structure.
Kinematic intensities with the Lorentz-polarization factor, no thermal factor.

Most intense lines, 2θ from 10° to 90°, in order of rising 2θ:
| 2θ/deg | I_rel |
| --- | --- |
| 21.74 | 30 |
| 30.94 | 100 |
| 38.14 | 9 |
| 44.33 | 21 |
| 49.89 | 16 |
| 55.04 | 45 |
| 64.48 | 13 |
| 68.92 | 6 |
| 73.24 | 18 |
| 89.78 | 22 |

Structure:
a b c (Å): 8.1743 8.1743 8.1743
angles (deg): 90.00 90.00 90.00
Space group Im-3 (No. 204)
Symmetry-distinct sites (fractional):
Pr 0.0000 0.0000 0.0000 x2
Pa 0.2500 0.2500 0.2500 x8
Mn 0.0000 0.0000 0.5000 x6
N 0.0000 0.3172 0.1554 x24


8.
Mg4CdPb: calculated PXRD pattern (λ = 1.5418 Å (Cu Kα)), based on a PBE-relaxed structure.
Kinematic intensities with the Lorentz-polarization factor, no thermal factor.

Most intense lines, 2θ from 10° to 90°, in order of rising 2θ:
| 2θ/deg | I_rel |
| --- | --- |
| 17.15 | 79 |
| 25.41 | 32 |
| 25.55 | 95 |
| 34.19 | 76 |
| 35.41 | 34 |
| 35.61 | 100 |
| 38.42 | 22 |
| 38.56 | 22 |
| 50.59 | 16 |
| 62.14 | 26 |

Structure:
a b c (Å): 3.7172 3.7010 10.3393
angles (deg): 90.00 90.36 90.00
Space group P2/m (No. 10)
Symmetry-distinct sites (fractional):
Mg 0.0032 0.0000 0.1794 x2
Mg 0.4961 0.5000 0.6538 x2
Cd 0.0000 0.0000 0.5000 x1
Pb 0.5000 0.5000 0.0000 x1


Copy entry 8 word for word.
Mg4CdPb: calculated PXRD pattern (λ = 1.5418 Å (Cu Kα)), based on a PBE-relaxed structure.
Kinematic intensities with the Lorentz-polarization factor, no thermal factor.

Most intense lines, 2θ from 10° to 90°, in order of rising 2θ:
| 2θ/deg | I_rel |
| --- | --- |
| 17.15 | 79 |
| 25.41 | 32 |
| 25.55 | 95 |
| 34.19 | 76 |
| 35.41 | 34 |
| 35.61 | 100 |
| 38.42 | 22 |
| 38.56 | 22 |
| 50.59 | 16 |
| 62.14 | 26 |

Structure:
a b c (Å): 3.7172 3.7010 10.3393
angles (deg): 90.00 90.36 90.00
Space group P2/m (No. 10)
Symmetry-distinct sites (fractional):
Mg 0.0032 0.0000 0.1794 x2
Mg 0.4961 0.5000 0.6538 x2
Cd 0.0000 0.0000 0.5000 x1
Pb 0.5000 0.5000 0.0000 x1


Repeat the first record exactly.
V5MoRu4: calculated PXRD pattern (λ = 1.5418 Å (Cu Kα)), based on a PBE-relaxed structure.
Kinematic intensities with the Lorentz-polarization factor, no thermal factor.

Most intense lines, 2θ from 10° to 90°, in order of rising 2θ:
| 2θ/deg | I_rel |
| --- | --- |
| 29.46 | 5 |
| 29.59 | 10 |
| 42.27 | 100 |
| 52.41 | 4 |
| 61.13 | 5 |
| 61.41 | 10 |
| 69.36 | 2 |
| 69.60 | 4 |
| 77.17 | 10 |
| 77.36 | 21 |

Structure:
a b c (Å): 3.0193 3.0193 15.1603
angles (deg): 90.00 90.00 90.00
Space group P4/mmm (No. 123)
Symmetry-distinct sites (fractional):
V 0.0000 0.0000 0.0000 x1
V 0.0000 0.0000 0.2001 x2
V 0.0000 0.0000 0.4017 x2
Mo 0.5000 0.5000 0.5000 x1
Ru 0.5000 0.5000 0.0980 x2
Ru 0.5000 0.5000 0.2970 x2


Copy entry 3 word for word.
ZnGe: calculated PXRD pattern (λ = 1.5418 Å (Cu Kα)), based on a PBE-relaxed structure.
Kinematic intensities with the Lorentz-polarization factor, no thermal factor.

Most intense lines, 2θ from 10° to 90°, in order of rising 2θ:
| 2θ/deg | I_rel |
| --- | --- |
| 23.06 | 44 |
| 25.25 | 58 |
| 29.28 | 17 |
| 29.71 | 32 |
| 36.06 | 41 |
| 41.86 | 100 |
| 42.81 | 33 |
| 44.56 | 19 |
| 44.87 | 32 |
| 49.54 | 24 |

Structure:
a b c (Å): 4.3229 7.7154 9.9606
angles (deg): 90.00 90.00 90.00
Space group P2_12_12_1 (No. 19)
Symmetry-distinct sites (fractional):
Zn 0.1355 0.0976 0.1572 x4
Zn 0.1424 0.5906 0.9085 x4
Ge 0.1705 0.9178 0.9275 x4
Ge 0.1839 0.4187 0.1600 x4


Repeat the sixth record exactly.
Ba2CoSb2: calculated PXRD pattern (λ = 1.5418 Å (Cu Kα)), based on a PBE-relaxed structure.
Kinematic intensities with the Lorentz-polarization factor, no thermal factor.

Most intense lines, 2θ from 10° to 90°, in order of rising 2θ:
| 2θ/deg | I_rel |
| --- | --- |
| 24.29 | 8 |
| 29.13 | 8 |
| 31.64 | 100 |
| 32.00 | 27 |
| 38.85 | 21 |
| 51.19 | 18 |
| 54.14 | 15 |
| 56.80 | 19 |
| 63.27 | 8 |
| 71.32 | 11 |

Structure:
a b c (Å): 7.3294 7.3294 5.5939
angles (deg): 90.00 90.00 90.00
Space group P4/mbm (No. 127)
Symmetry-distinct sites (fractional):
Ba 0.1706 0.3294 0.0000 x4
Co 0.0000 0.0000 0.5000 x2
Sb 0.1486 0.6486 0.5000 x4